Record 1
Simulated powder XRD pattern
Compound: Rb3Sr2CeO6
Radiation: a wavelength of 1.5418 Å
Structure: a structure optimized by DFT (GGA-PBE)
No peak broadening, texture or thermal motion is included.

Main lines, low angle first (10° ≤ 2θ ≤ 80°):
index  2θ (°)  I/Imax
0 0 2  27.2  33
2 0 0  29.2  75
1 3 1  33.3  100
2 0 2  46.5  34
0 6 0  49.0  33
1 3 3  54.7  17
3 3 1  56.9  27
2 6 0  58.0  12
4 0 0  60.5  16
2 0 4  73.6  8
3 3 3  77.7  13
5 3 -1  79.3  10

Atomic structure:
Cell lengths 6.446, 11.149, 6.895 Å; angles 90.00, 108.22, 90.00 degrees
Space group C2/m (No. 12)
Symmetry-distinct sites (fractional):
1 Rb 0.000 0.000 0.000
2 Rb 0.000 0.332 0.000
3 Sr 0.000 0.166 0.500
4 Ce 0.000 0.500 0.500
5 O 0.212 0.350 0.685
6 O 0.237 0.500 0.313


Record 2
Simulated powder XRD pattern
Compound: As2S3
Radiation: a wavelength of 1.5418 Å
Structure: a structure optimized by DFT (GGA-PBE)
No peak broadening, texture or thermal motion is included.

Main lines, low angle first (10° ≤ 2θ ≤ 80°):
index  2θ (°)  I/Imax
0 1 2  17.4  100
1 1 0  24.9  43
1 1 3  29.1  24
0 2 4  35.2  12
1 1 6  39.3  71
2 1 4  43.6  12
3 0 0  43.8  29
3 1 2  54.3  10
1 2 8  56.8  10
2 2 6  60.3  19
4 1 0  69.5  10
4 1 6  77.4  10

Atomic structure:
Cell lengths 7.1604, 7.1604, 17.9397 Å; angles 90.00, 90.00, 120.00 degrees
Space group R-3c (No. 167, hexagonal axes)
Symmetry-distinct sites (fractional):
1 As 0.0000 0.0000 0.1702
2 S 0.0000 0.2636 0.2500